Starting from the PBE geometry in the Materials Project, the PXRD pattern of HoS was simulated for CuKα.
Peak positions follow from Bragg's law for the DFT cell and can differ from measured ones.

Atomic structure:
a = 5.492 Å, b = 5.492 Å, c = 5.492 Å
α = 90.00°, β = 90.00°, γ = 90.00°
Space group Fm-3m (No. 225)
One atom of each set of equivalent atoms:
Ho1 0.000 0.000 0.000 x4
S1 0.000 0.000 0.500 x4

The 6 most intense peaks (5 to 70 degrees two-theta), in order of rising 2θ:
Position (°2θ), I (rel.), (hkl)
28.15, 83, 1 1 1
32.61, 100, 2 0 0
46.79, 72, 2 2 0
55.50, 41, 3 1 1
58.20, 25, 2 2 2
68.32, 12, 4 0 0

Starting from the PBE geometry in the Materials Project, the PXRD pattern of CeLu3 was simulated for CuKα.
Peak positions follow from Bragg's law for the DFT cell and can differ from measured ones.

Atomic structure:
a = 7.0004 Å, b = 7.0004 Å, c = 5.5733 Å
α = 90.00°, β = 90.00°, γ = 120.00°
Space group P6_3/mmc (No. 194)
One atom of each set of equivalent atoms:
Ce1 0.3333 0.6667 0.2500 x2
Lu1 0.1670 0.3339 0.7500 x6

The 11 most intense peaks (5 to 70 degrees two-theta), in order of rising 2θ:
Position (°2θ), I (rel.), (hkl)
21.66, 1, 1 0 1
29.47, 24, 2 0 0
32.12, 25, 0 0 2
33.66, 100, 2 0 1
44.15, 16, 2 0 2
52.27, 19, 2 2 0
58.25, 21, 2 0 3
61.15, 3, 4 0 0
62.69, 22, 2 2 2
63.62, 16, 4 0 1
67.19, 3, 0 0 4

Starting from the PBE geometry in the Materials Project, the PXRD pattern of SnPO4 was simulated for CuKα.
Peak positions follow from Bragg's law for the DFT cell and can differ from measured ones.

Atomic structure:
a = 8.428 Å, b = 13.909 Å, c = 9.709 Å
α = 90.00°, β = 90.50°, γ = 90.00°
Space group Cc (No. 9)
One atom of each set of equivalent atoms:
Sn1 0.000 0.038 0.000 x4
Sn2 0.068 0.307 0.989 x4
Sn3 0.095 0.297 0.496 x4
P1 0.375 0.007 0.070 x4
P2 0.381 0.352 0.205 x4
P3 0.384 0.356 0.797 x4
O1 0.003 0.071 0.362 x4
O2 0.024 0.440 0.511 x4
O3 0.205 0.359 0.165 x4
O4 0.212 0.380 0.837 x4
O5 0.229 0.065 0.002 x4
O6 0.363 0.004 0.223 x4
O7 0.377 0.097 0.506 x4
O8 0.393 0.366 0.368 x4
O9 0.400 0.365 0.635 x4
O10 0.428 0.253 0.838 x4
O11 0.452 0.253 0.170 x4
O12 0.482 0.434 0.143 x4

The 12 most intense peaks (5 to 70 degrees two-theta), in order of rising 2θ:
Position (°2θ), I (rel.), (hkl)
12.28, 29, 1 1 0
18.28, 96, 0 0 2
21.08, 58, 2 0 0
21.88, 100, 1 3 0
24.70, 27, 2 2 0
27.92, 36, 2 0 -2
28.17, 47, 2 0 2
28.59, 67, 1 3 -2
28.72, 50, 1 3 2
30.79, 22, 2 2 -2
33.93, 22, 1 5 0
37.43, 39, 3 3 0

Starting from the PBE geometry in the Materials Project, the PXRD pattern of KBa2Cd2Sb3 was simulated for CuKα.
Peak positions follow from Bragg's law for the DFT cell and can differ from measured ones.

Atomic structure:
a = 13.363 Å, b = 5.033 Å, c = 17.035 Å
α = 90.00°, β = 90.00°, γ = 90.00°
Space group Pnma (No. 62)
One atom of each set of equivalent atoms:
K1 0.101 0.250 0.054 x4
Ba1 0.100 0.750 0.428 x4
Ba2 0.127 0.250 0.790 x4
Cd1 0.135 0.250 0.284 x4
Cd2 0.196 0.250 0.584 x4
Sb1 0.078 0.750 0.635 x4
Sb2 0.134 0.750 0.196 x4
Sb3 0.213 0.750 0.924 x4

The 12 most intense peaks (5 to 70 degrees two-theta), in order of rising 2θ:
Position (°2θ), I (rel.), (hkl)
8.41, 49, 1 0 1
24.49, 19, 2 1 2
26.68, 31, 4 0 0
27.01, 15, 1 0 5
27.24, 71, 3 1 1
28.25, 100, 1 1 4
28.71, 21, 4 0 2
30.58, 24, 2 1 4
34.14, 70, 3 1 4
35.68, 57, 0 2 0
37.73, 33, 3 1 5
41.78, 20, 3 1 6

Starting from the PBE geometry in the Materials Project, the PXRD pattern of Sr4ZnIr3O12 was simulated for CuKα.
Peak positions follow from Bragg's law for the DFT cell and can differ from measured ones.

Atomic structure:
a = 5.643 Å, b = 5.674 Å, c = 7.964 Å
α = 89.57°, β = 89.91°, γ = 89.95°
Space group P-1 (No. 2)
One atom of each set of equivalent atoms:
Sr1 0.003 0.466 0.242 x2
Sr2 0.490 0.962 0.242 x2
Zn1 0.500 0.500 0.000 x1
Ir1 0.000 0.000 0.000 x1
Ir2 0.000 0.000 0.500 x1
Ir3 0.500 0.500 0.500 x1
O1 0.074 0.987 0.751 x2
O2 0.202 0.701 0.462 x2
O3 0.207 0.724 0.032 x2
O4 0.275 0.210 0.030 x2
O5 0.298 0.203 0.463 x2
O6 0.440 0.493 0.741 x2

The 12 most intense peaks (5 to 70 degrees two-theta), in order of rising 2θ:
Position (°2θ), I (rel.), (hkl)
22.22, 35, 1 1 0
22.33, 17, 0 0 2
31.56, 97, 0 2 0
31.68, 98, 2 0 0
31.79, 100, 1 -1 2
45.33, 52, 2 -2 0
45.56, 27, 0 0 4
56.10, 17, -1 3 2
56.43, 41, 3 1 2
56.53, 32, 3 -1 2
56.65, 21, 2 0 -4
66.42, 16, 2 -2 4